Starting from a crystal structure in the Materials Project, relaxed with GGA-PBE, the powder X-ray diffraction pattern of KYH4C4O9 was simulated for a wavelength of 1.5418 Å.

Structure:
Unit cell a=6.2502 b=6.6761 c=7.3629 alpha=108.02 beta=113.68 gamma=97.95
Element x y z (fractional)
K 0.0000 0.0000 0.0000
Y 0.8473 0.3386 0.6050
H 0.1955 0.5281 0.3014
H 0.4108 0.7215 0.8185
H 0.4805 0.1485 0.9782
H 0.7628 0.7466 0.3229
C 0.1672 0.5727 0.1621
C 0.4406 0.5619 0.7467
C 0.5824 0.1969 0.1560
C 0.8852 0.8105 0.4995
O 0.0410 0.4168 0.9738
O 0.2588 0.7697 0.1959
O 0.2636 0.3896 0.6648
O 0.4844 0.2773 0.2717
O 0.5207 0.0889 0.5991
O 0.6490 0.5722 0.7550
O 0.7933 0.1700 0.2371
O 0.9445 0.0145 0.6131
O 0.9546 0.6710 0.5757

Peak list (10 most intense, 5° ≤ 2θ ≤ 70°, sorted by position)
| 2θ (°) | I (rel.) |
| --- | --- |
| 14.3 | 34 |
| 14.6 | 42 |
| 15.8 | 100 |
| 16.2 | 52 |
| 26.6 | 20 |
| 27.1 | 26 |
| 28.9 | 50 |
| 30.6 | 16 |
| 32.8 | 38 |
| 38.8 | 17 |

Starting from a crystal structure in the Materials Project, relaxed with GGA-PBE, the powder X-ray diffraction pattern of LaH6CO7 was simulated for a wavelength of 1.5418 Å.

Structure:
Unit cell a=5.2682 b=9.0096 c=15.2522 alpha=90.00 beta=93.14 gamma=90.00
Element x y z (fractional)
La 0.0040 0.0034 0.2713
La 0.0040 0.4966 0.7713
La 0.9960 0.5034 0.2287
La 0.9960 0.9966 0.7287
H 0.1550 0.0222 0.9274
H 0.1550 0.4778 0.4274
H 0.1885 0.1668 0.0965
H 0.1885 0.3332 0.5965
H 0.2827 0.1639 0.8928
H 0.2827 0.3361 0.3928
H 0.3650 0.0236 0.0959
H 0.3650 0.4764 0.5959
H 0.4370 0.0698 0.6346
H 0.4370 0.4302 0.1346
H 0.4852 0.6436 0.7767
H 0.4852 0.8564 0.2767
H 0.5148 0.1436 0.7233
H 0.5148 0.3564 0.2233
H 0.5630 0.5698 0.8654
H 0.5630 0.9302 0.3654
H 0.6350 0.5236 0.4041
H 0.6350 0.9764 0.9041
H 0.7173 0.6639 0.6072
H 0.7173 0.8361 0.1072
H 0.8115 0.6668 0.4035
H 0.8115 0.8332 0.9035
H 0.8450 0.5222 0.5726
H 0.8450 0.9778 0.0726
C 0.0847 0.0713 0.5005
C 0.0847 0.4287 0.0005
C 0.9153 0.5713 0.9995
C 0.9153 0.9287 0.4995
O 0.1318 0.2466 0.7566
O 0.1318 0.2534 0.2566
O 0.1355 0.1288 0.5762
O 0.1355 0.3712 0.0762
O 0.1507 0.7476 0.7354
O 0.1507 0.7524 0.2354
O 0.1580 0.1175 0.4284
O 0.1580 0.3825 0.9284
O 0.1906 0.0580 0.1059
O 0.1906 0.4420 0.6059
O 0.3015 0.0549 0.8951
O 0.3015 0.4451 0.3951
O 0.4984 0.0454 0.6953
O 0.4984 0.4546 0.1953
O 0.5016 0.5454 0.8047
O 0.5016 0.9546 0.3047
O 0.6985 0.5549 0.6049
O 0.6985 0.9451 0.1049
O 0.8094 0.5580 0.3941
O 0.8094 0.9420 0.8941
O 0.8420 0.6175 0.0716
O 0.8420 0.8825 0.5716
O 0.8493 0.2476 0.7646
O 0.8493 0.2524 0.2646
O 0.8645 0.6288 0.9238
O 0.8645 0.8712 0.4238
O 0.8682 0.7466 0.7434
O 0.8682 0.7534 0.2434

Peak list (10 most intense, 5° ≤ 2θ ≤ 70°, sorted by position)
| 2θ (°) | I (rel.) |
| --- | --- |
| 11.6 | 100 |
| 16.9 | 70 |
| 19.7 | 39 |
| 20.0 | 25 |
| 21.0 | 18 |
| 22.9 | 19 |
| 23.4 | 17 |
| 26.0 | 18 |
| 28.2 | 25 |
| 31.0 | 18 |

Starting from a crystal structure in the Materials Project, relaxed with GGA-PBE, the powder X-ray diffraction pattern of LaH3C3O6 was simulated for a wavelength of 1.5418 Å.

Structure:
Unit cell a=6.4224 b=6.4224 c=6.4224 alpha=115.45 beta=115.45 gamma=115.45
Element x y z (fractional)
La 0.0000 0.0000 0.0000
H 0.3805 0.3805 0.8667
H 0.3805 0.8667 0.3805
H 0.8667 0.3805 0.3805
C 0.1558 0.6129 0.6129
C 0.6129 0.1558 0.6129
C 0.6129 0.6129 0.1558
O 0.2880 0.8818 0.8818
O 0.3339 0.5889 0.5889
O 0.5889 0.3339 0.5889
O 0.5889 0.5889 0.3339
O 0.8818 0.2880 0.8818
O 0.8818 0.8818 0.2880

Peak list (10 most intense, 5° ≤ 2θ ≤ 70°, sorted by position)
| 2θ (°) | I (rel.) |
| --- | --- |
| 16.3 | 100 |
| 23.3 | 30 |
| 28.6 | 35 |
| 33.0 | 37 |
| 33.1 | 45 |
| 40.8 | 30 |
| 44.1 | 13 |
| 44.2 | 13 |
| 44.5 | 17 |
| 47.4 | 21 |